Diffraction record for Cd5Pb. The powder XRD pattern is simulated, not measured: it uses a cell relaxed with PBE and Cu Kα X-rays.
No peak broadening, texture or thermal motion is included.

Cell: 5.3137 8.4853 8.4853 Å, 23.21 90.00 90.00°
Fractional coordinates of all 6 atoms:
Cd: 0.0000 0.0000 0.0000
Cd: 0.0000 0.3153 0.3153
Cd: 0.0000 0.6583 0.6583
Cd: 0.5000 0.2096 0.2096
Cd: 0.5000 0.5564 0.5564
Pb: 0.5000 0.8860 0.8860

Peak list (8 most intense, 15 to 90 degrees two-theta, by angle)
2theta  intensity
30.76  29
33.74  40
35.20  100
36.58  49
46.30  19
61.29  21
66.73  16
67.59  19